# 1
Simulated PXRD pattern
Compound: TaB
Radiation: Cu Kα (weighted mean of Kα1 and Kα2)
Structure: a structure optimized by DFT (PBE)
Peak positions follow from Bragg's law for the DFT cell and can differ from measured ones.

Structural model:
a b c (Å): 3.2927 8.7228 3.1637
angles (deg): 90.00 90.00 90.00
Space group Cmcm (No. 63)
Unique sites:
1 Ta 0.0000 0.1456 0.2500 x4
2 B 0.0000 0.4406 0.2500 x4

Peak list (6 most intense, 2θ from 10° to 90°, sorted by position)
index, 2θ (°), d (Å), I (rel.)
1 1 0, 28.99, 3.081, 60
0 2 1, 35.04, 2.561, 100
1 1 1, 40.89, 2.207, 98
1 3 0, 41.42, 2.180, 91
1 5 1, 67.63, 1.385, 62
1 3 2, 74.05, 1.280, 33

---

# 2
Simulated PXRD pattern
Compound: TaB4
Radiation: Cu Kα (weighted mean of Kα1 and Kα2)
Structure: a structure optimized by DFT (PBE)
Peak positions follow from Bragg's law for the DFT cell and can differ from measured ones.

Structural model:
a b c (Å): 9.9679 5.2800 3.1095
angles (deg): 90.00 90.00 90.00
Space group Amm2 (No. 38)
Unique sites:
1 Ta 0.1666 0.0000 0.0000 x4
2 B 0.0000 0.1665 0.5017 x4
3 B 0.3385 0.1720 0.5124 x8
4 B 0.5000 0.1677 0.2453 x4

Peak list (6 most intense, 2θ from 10° to 90°, sorted by position)
index, 2θ (°), d (Å), I (rel.)
2 0 0, 17.80, 4.984, 40
3 0 0, 26.83, 3.323, 64
0 1 1, 33.44, 2.679, 79
1 1 1, 34.67, 2.588, 41
3 1 1, 43.38, 2.086, 100
3 2 0, 43.80, 2.067, 47

---

# 3
Simulated PXRD pattern
Compound: TcB4
Radiation: Cu Kα (weighted mean of Kα1 and Kα2)
Structure: a structure optimized by DFT (PBE)
Peak positions follow from Bragg's law for the DFT cell and can differ from measured ones.

Structural model:
a b c (Å): 5.2940 5.2940 6.4931
angles (deg): 90.00 90.00 120.00
Space group P6_3/mmc (No. 194)
Unique sites:
1 Tc 0.0000 0.0000 0.2500 x2
2 Tc 0.3333 0.6667 0.2500 x2
3 B 0.0000 0.3358 0.0000 x12
4 B 0.3333 0.6667 0.6192 x4

Peak list (6 most intense, 2θ from 10° to 90°, sorted by position)
index, 2θ (°), d (Å), I (rel.)
1 0 1, 23.76, 3.745, 63
0 0 2, 27.47, 3.247, 27
1 1 0, 33.86, 2.647, 92
1 1 2, 44.14, 2.052, 100
3 0 0, 60.58, 1.528, 31
1 1 4, 67.74, 1.383, 30

---

# 4
Simulated PXRD pattern
Compound: B2TeW2
Radiation: Cu Kα (weighted mean of Kα1 and Kα2)
Structure: a structure optimized by DFT (PBE)
Peak positions follow from Bragg's law for the DFT cell and can differ from measured ones.

Structural model:
a b c (Å): 9.3257 14.2568 4.2518
angles (deg): 90.00 90.00 90.00
Space group Fdd2 (No. 43)
Unique sites:
1 B 0.0428 0.3354 0.0000 x16
2 Te 0.0000 0.0000 0.3027 x8
3 W 0.0396 0.1780 0.9916 x16

Peak list (6 most intense, 2θ from 10° to 90°, sorted by position)
index, 2θ (°), d (Å), I (rel.)
1 3 1, 29.78, 3.000, 100
3 1 1, 36.35, 2.471, 49
1 5 1, 39.25, 2.295, 25
3 3 1, 40.68, 2.218, 49
2 6 0, 42.71, 2.117, 46
0 2 2, 44.47, 2.037, 25